LaNdCl6: theoretical X-ray powder pattern (Cu Kα (weighted mean of Kα1 and Kα2)), based on a structure optimized by DFT (GGA-PBE).
Peak positions follow from Bragg's law for the DFT cell and can differ from measured ones.

Structure:
```
LaNdCl6
1.0
7.505 0.000 0.000
-3.753 6.500 0.000
0.000 0.000 4.309
La Nd Cl
1 1 6
direct
0.000 0.000 0.000
0.333 0.667 0.500
0.059 0.636 0.000
0.279 0.029 0.500
0.364 0.423 0.000
0.577 0.941 0.000
0.750 0.721 0.500
0.971 0.250 0.500
```

Peak list (8 most intense, 10° ≤ 2θ ≤ 90°, low angle first)
index  two_theta  I_rel
1 0 0  13.62  1000
1 1 0  23.71  412
1 0 1  24.79  637
1 1 1  31.62  235
2 0 1  34.57  904
3 0 0  41.69  331
2 1 1  42.35  734
2 3 1  66.33  266